# 1
For ErOs6, a crystal structure in Alexandria, relaxed with PBE gives the calculated XRD peak list in this record (λ = 1.5418 Å (Cu Kα)).

Structural model:
```
data_ErOs6
_cell_length_a 6.791
_cell_length_b 6.791
_cell_length_c 6.791
_cell_angle_alpha 90.00
_cell_angle_beta 90.00
_cell_angle_gamma 90.00
_space_group_name_H-M_alt 'I m -3 m'
_space_group_IT_number 229
_space_group_name_Hall '-I 4 2 3'
loop_
_atom_site_label
_atom_site_fract_x
_atom_site_fract_y
_atom_site_fract_z
Er1 0.000 0.000 0.000
Os1 0.000 0.250 0.500
```

Largest 6 diffraction maxima, in order of falling intensity, 10 to 80 degrees two-theta:
d [Å]  two_theta  I_rel  hkl
2.773  32.29  100  2 1 1
1.815  50.27  59  3 2 1
3.396  26.24  42  2 0 0
1.960  46.31  39  2 2 2
1.698  54.01  34  4 0 0
4.802  18.48  29  1 1 0



# 2
For Sc4Ag2Ir, a crystal structure in Alexandria, relaxed with PBE gives the calculated XRD peak list in this record (λ = 1.5418 Å (Cu Kα)).

Structural model:
```
data_Sc4Ag2Ir
_cell_length_a 4.7191
_cell_length_b 4.7191
_cell_length_c 22.8931
_cell_angle_alpha 90.00
_cell_angle_beta 90.00
_cell_angle_gamma 120.00
_space_group_name_H-M_alt 'R -3 m'
_space_group_IT_number 166
_space_group_name_Hall '-R 3 2"'
loop_
_atom_site_label
_atom_site_fract_x
_atom_site_fract_y
_atom_site_fract_z
Sc1 0.0000 0.0000 0.1228
Sc2 0.0000 0.0000 0.3742
Ag1 0.0000 0.0000 0.2509
Ir1 0.0000 0.0000 0.0000
```

Largest 6 diffraction maxima, in order of falling intensity, 10 to 80 degrees two-theta:
d [Å]  two_theta  I_rel  hkl
2.360  38.14  100  1 1 0
2.344  38.40  98  0 1 8
7.631  11.60  63  0 0 3
4.023  22.09  41  1 0 1
3.326  26.80  39  1 0 4
1.663  55.24  32  2 0 8



# 3
For Li3Zn6Pd2, a crystal structure in Alexandria, relaxed with PBE gives the calculated XRD peak list in this record (λ = 1.5418 Å (Cu Kα)).

Structural model:
```
data_Li3Zn6Pd2
_cell_length_a 5.189
_cell_length_b 5.192
_cell_length_c 7.284
_cell_angle_alpha 89.59
_cell_angle_beta 78.08
_cell_angle_gamma 60.66
_space_group_name_H-M_alt 'P -1'
_space_group_IT_number 2
_space_group_name_Hall '-P 1'
loop_
_atom_site_label
_atom_site_fract_x
_atom_site_fract_y
_atom_site_fract_z
Li1 0.000 0.000 0.000
Li2 0.051 0.970 0.656
Zn1 0.061 0.457 0.162
Zn2 0.315 0.312 0.506
Zn3 0.478 0.507 0.809
Pd1 0.465 0.029 0.810
```

Largest 6 diffraction maxima, in order of falling intensity, 10 to 80 degrees two-theta:
d [Å]  two_theta  I_rel  hkl
4.444  19.98  100  1 1 0
4.399  20.19  74  1 0 0
2.361  38.11  74  0 0 3
2.101  43.04  64  2 0 2
2.001  45.33  60  0 2 -2
2.222  40.60  45  2 2 0



Which formula does entry 3 have? Li3Zn6Pd2